# 1
Computed X-ray powder pattern of Li5Mn2P2C2O14 for λ = 1.5418 Å (Cu Kα), from the PBE+U geometry in the Materials Project.
No peak broadening, texture or thermal motion is included.

Largest 6 diffraction maxima, by angle, 2θ = 10–80°:
d = 8.494 Å, I = 100; d = 5.133 Å, I = 27; d = 4.466 Å, I = 31; d = 4.207 Å, I = 45; d = 3.361 Å, I = 35; d = 3.221 Å, I = 91

Structure:
Cell lengths 8.514, 6.442, 10.091 Å; angles 90.00, 93.90, 90.00 degrees
Fractional coordinates of all 50 atoms:
Li 0.097 0.250 0.117
Li 0.248 0.020 0.381
Li 0.248 0.480 0.381
Li 0.262 0.021 0.864
Li 0.262 0.479 0.864
Li 0.738 0.521 0.136
Li 0.738 0.979 0.136
Li 0.752 0.520 0.619
Li 0.752 0.980 0.619
Li 0.903 0.750 0.883
Mn 0.339 0.750 0.107
Mn 0.341 0.750 0.601
Mn 0.659 0.250 0.399
Mn 0.661 0.250 0.893
P 0.414 0.250 0.139
P 0.418 0.250 0.637
P 0.582 0.750 0.363
P 0.586 0.750 0.861
C 0.036 0.750 0.139
C 0.046 0.750 0.646
C 0.954 0.250 0.354
C 0.964 0.250 0.861
O 0.076 0.750 0.017
O 0.080 0.750 0.526
O 0.096 0.250 0.315
O 0.107 0.250 0.832
O 0.152 0.750 0.233
O 0.165 0.750 0.740
O 0.312 0.064 0.086
O 0.312 0.436 0.086
O 0.326 0.060 0.579
O 0.326 0.440 0.579
O 0.409 0.750 0.405
O 0.419 0.750 0.914
O 0.427 0.250 0.792
O 0.430 0.250 0.293
O 0.570 0.750 0.707
O 0.573 0.750 0.208
O 0.581 0.250 0.086
O 0.591 0.250 0.595
O 0.674 0.560 0.421
O 0.674 0.940 0.421
O 0.688 0.564 0.914
O 0.688 0.936 0.914
O 0.835 0.250 0.260
O 0.848 0.250 0.767
O 0.893 0.750 0.168
O 0.904 0.750 0.685
O 0.920 0.250 0.474
O 0.924 0.250 0.983

=====

# 2
Computed X-ray powder pattern of Li3FeO4 for λ = 1.5418 Å (Cu Kα), from the PBE+U geometry in the Materials Project.
No peak broadening, texture or thermal motion is included.

Largest 6 diffraction maxima, by angle, 2θ = 10–80°:
d = 4.787 Å, I = 100; d = 4.055 Å, I = 25; d = 2.474 Å, I = 26; d = 2.069 Å, I = 46; d = 2.028 Å, I = 21; d = 1.447 Å, I = 11

Structure:
Cell lengths 2.889, 5.023, 5.024 Å; angles 72.35, 89.83, 89.94 degrees
Fractional coordinates of all 8 atoms:
Li 0.000 0.000 0.000
Li 0.002 0.501 0.497
Li 0.502 0.006 0.502
Fe 0.503 0.501 0.996
O 0.002 0.272 0.226
O 0.004 0.731 0.767
O 0.500 0.728 0.225
O 0.505 0.272 0.768

=====

# 3
Computed X-ray powder pattern of Li9Mn2Co5O16 for λ = 1.5418 Å (Cu Kα), from the PBE+U geometry in the Materials Project.
No peak broadening, texture or thermal motion is included.

Largest 6 diffraction maxima, by angle, 2θ = 10–80°:
d = 4.837 Å, I = 100; d = 2.550 Å, I = 15; d = 2.480 Å, I = 26; d = 2.123 Å, I = 28; d = 2.061 Å, I = 54; d = 1.479 Å, I = 29

Structure:
Cell lengths 9.837, 9.837, 10.328 Å; angles 96.10, 96.10, 16.88 degrees
Fractional coordinates of all 32 atoms:
Li 0.000 0.000 0.000
Li 0.000 0.000 0.494
Li 0.255 0.255 0.377
Li 0.258 0.258 0.872
Li 0.376 0.376 0.564
Li 0.497 0.497 0.251
Li 0.499 0.499 0.754
Li 0.755 0.755 0.131
Li 0.760 0.760 0.616
Mn 0.127 0.127 0.682
Mn 0.629 0.629 0.941
Co 0.127 0.127 0.191
Co 0.381 0.381 0.063
Co 0.628 0.628 0.433
Co 0.873 0.873 0.330
Co 0.879 0.879 0.804
O 0.072 0.072 0.353
O 0.072 0.072 0.859
O 0.183 0.183 0.517
O 0.187 0.187 0.021
O 0.319 0.319 0.727
O 0.323 0.323 0.215
O 0.435 0.435 0.904
O 0.436 0.436 0.399
O 0.568 0.568 0.603
O 0.574 0.574 0.103
O 0.683 0.683 0.270
O 0.683 0.683 0.772
O 0.816 0.816 0.457
O 0.826 0.826 0.958
O 0.933 0.933 0.681
O 0.937 0.937 0.148

=====

# 4
Computed X-ray powder pattern of NaSrYMnO6 for λ = 1.5418 Å (Cu Kα), from the PBE+U geometry in the Materials Project.
No peak broadening, texture or thermal motion is included.

Largest 6 diffraction maxima, by angle, 2θ = 10–80°:
d = 4.739 Å, I = 20; d = 2.902 Å, I = 100; d = 2.052 Å, I = 43; d = 1.675 Å, I = 38; d = 1.451 Å, I = 24; d = 1.298 Å, I = 17

Structure:
Cell lengths 5.804, 5.804, 5.804 Å; angles 60.00, 60.00, 60.00 degrees
Fractional coordinates of all 10 atoms:
Na 0.000 0.000 0.000
Sr 0.500 0.500 0.500
Y 0.250 0.250 0.250
Mn 0.750 0.750 0.750
O 0.519 0.519 0.981
O 0.519 0.981 0.519
O 0.519 0.981 0.981
O 0.981 0.519 0.519
O 0.981 0.519 0.981
O 0.981 0.981 0.519

=====

# 5
Computed X-ray powder pattern of NaVS2O8 for λ = 1.5418 Å (Cu Kα), from the PBE+U geometry in the Materials Project.
No peak broadening, texture or thermal motion is included.

Largest 6 diffraction maxima, by angle, 2θ = 10–80°:
d = 7.288 Å, I = 60; d = 3.776 Å, I = 100; d = 3.584 Å, I = 59; d = 2.811 Å, I = 60; d = 2.614 Å, I = 22; d = 2.430 Å, I = 36

Structure:
Cell lengths 5.227, 10.991, 11.004 Å; angles 96.99, 90.13, 90.11 degrees
Fractional coordinates of all 48 atoms:
Na 0.000 0.000 0.000
Na 0.000 0.500 0.500
Na 0.499 0.250 0.750
Na 0.501 0.750 0.250
V 0.000 0.250 0.250
V 0.000 0.750 0.750
V 0.500 0.000 0.500
V 0.500 0.500 0.000
S 0.001 0.538 0.182
S 0.001 0.961 0.318
S 0.499 0.212 0.068
S 0.499 0.712 0.568
S 0.501 0.288 0.432
S 0.501 0.788 0.932
S 0.999 0.039 0.682
S 0.999 0.462 0.818
O 0.001 0.402 0.163
O 0.001 0.591 0.309
O 0.001 0.903 0.663
O 0.004 0.909 0.190
O 0.228 0.085 0.619
O 0.233 0.417 0.881
O 0.233 0.583 0.119
O 0.238 0.918 0.381
O 0.266 0.332 0.369
O 0.267 0.167 0.132
O 0.267 0.833 0.869
O 0.268 0.667 0.631
O 0.497 0.848 0.588
O 0.498 0.159 0.941
O 0.500 0.340 0.559
O 0.500 0.348 0.088
O 0.500 0.652 0.912
O 0.500 0.660 0.441
O 0.502 0.841 0.059
O 0.503 0.152 0.412
O 0.732 0.333 0.369
O 0.733 0.167 0.131
O 0.733 0.833 0.868
O 0.734 0.668 0.631
O 0.762 0.082 0.619
O 0.767 0.417 0.881
O 0.767 0.583 0.119
O 0.772 0.915 0.381
O 0.996 0.091 0.810
O 0.999 0.097 0.337
O 0.999 0.409 0.691
O 0.999 0.598 0.837

=====

# 6
Computed X-ray powder pattern of NaCo2S2O8 for λ = 1.5418 Å (Cu Kα), from the PBE+U geometry in the Materials Project.
No peak broadening, texture or thermal motion is included.

Largest 6 diffraction maxima, by angle, 2θ = 10–80°:
d = 6.696 Å, I = 100; d = 4.409 Å, I = 27; d = 3.106 Å, I = 32; d = 2.810 Å, I = 14; d = 2.760 Å, I = 36; d = 2.489 Å, I = 16

Structure:
Cell lengths 6.341, 7.709, 8.841 Å; angles 98.83, 110.33, 112.87 degrees
Fractional coordinates of all 26 atoms:
Na 0.054 0.194 0.401
Na 0.946 0.806 0.599
Co 0.000 0.000 0.000
Co 0.302 0.815 0.294
Co 0.500 0.000 0.000
Co 0.698 0.185 0.706
S 0.263 0.258 0.793
S 0.444 0.714 0.662
S 0.556 0.286 0.338
S 0.737 0.742 0.207
O 0.018 0.832 0.344
O 0.131 0.575 0.213
O 0.233 0.884 0.080
O 0.241 0.095 0.885
O 0.288 0.251 0.230
O 0.318 0.748 0.774
O 0.373 0.209 0.672
O 0.481 0.884 0.580
O 0.519 0.116 0.420
O 0.627 0.791 0.328
O 0.682 0.252 0.226
O 0.712 0.749 0.770
O 0.759 0.905 0.115
O 0.767 0.116 0.920
O 0.869 0.425 0.787
O 0.982 0.168 0.656

=====

# 7
Computed X-ray powder pattern of Li2Fe3CoO8 for λ = 1.5418 Å (Cu Kα), from the PBE+U geometry in the Materials Project.
No peak broadening, texture or thermal motion is included.

Largest 6 diffraction maxima, by angle, 2θ = 10–80°:
d = 4.689 Å, I = 45; d = 4.489 Å, I = 100; d = 2.498 Å, I = 49; d = 2.466 Å, I = 49; d = 1.979 Å, I = 56; d = 1.512 Å, I = 39

Structure:
Cell lengths 5.903, 5.903, 9.377 Å; angles 90.00, 90.00, 120.00 degrees
Fractional coordinates of all 28 atoms:
Li 0.000 0.000 0.000
Li 0.000 0.000 0.500
Li 0.333 0.667 0.402
Li 0.667 0.333 0.902
Fe 0.170 0.340 0.718
Fe 0.170 0.830 0.718
Fe 0.340 0.170 0.218
Fe 0.660 0.830 0.718
Fe 0.830 0.170 0.218
Fe 0.830 0.660 0.218
Co 0.333 0.667 0.989
Co 0.667 0.333 0.489
O 0.000 0.000 0.310
O 0.000 0.000 0.810
O 0.045 0.523 0.855
O 0.171 0.342 0.103
O 0.171 0.829 0.103
O 0.333 0.667 0.609
O 0.342 0.171 0.603
O 0.477 0.523 0.855
O 0.477 0.955 0.855
O 0.523 0.045 0.355
O 0.523 0.477 0.355
O 0.658 0.829 0.103
O 0.667 0.333 0.109
O 0.829 0.171 0.603
O 0.829 0.658 0.603
O 0.955 0.477 0.355